Structure and calculated powder diffractogram of RhN (a crystal structure in Alexandria, relaxed with PBE; Cu Kα, 1.54184 Å).
Neutral-atom scattering factors, no anomalous dispersion.

Most intense lines, 2θ from 5° to 70°, by angle:
| 2θ/deg | Rel. int. |
| --- | --- |
| 14.37 | 58 |
| 28.97 | 8 |
| 35.26 | 100 |
| 43.73 | 64 |
| 44.07 | 17 |
| 45.93 | 26 |
| 48.37 | 23 |
| 65.54 | 23 |
| 66.98 | 12 |
| 69.68 | 10 |

Atomic structure:
```
data_RhN
_chemical_formula_sum 'Rh2 N2'
_space_group_name_H-M_alt 'P -4 m 2'
_space_group_IT_number 115
_space_group_name_Hall 'P -4 -2'
_cell_length_a 2.7943
_cell_length_b 2.7943
_cell_length_c 6.1645
_cell_angle_alpha 90.00
_cell_angle_beta 90.00
_cell_angle_gamma 90.00
loop_
_atom_site_label
_atom_site_type_symbol
_atom_site_fract_x
_atom_site_fract_y
_atom_site_fract_z
Rh1 Rh 0.0000 0.5000 0.1580
N1 N 0.5000 0.5000 0.4040
```

=====

Structure and calculated powder diffractogram of RhN (a crystal structure in Alexandria, relaxed with PBE; Cu Kα, 1.54184 Å).
Neutral-atom scattering factors, no anomalous dispersion.

Most intense lines, 2θ from 5° to 70°, by angle:
| 2θ/deg | Rel. int. |
| --- | --- |
| 33.89 | 100 |
| 34.78 | 27 |
| 38.24 | 2 |
| 49.35 | 86 |
| 60.64 | 25 |

Atomic structure:
```
data_RhN
_chemical_formula_sum 'Rh2 N2'
_space_group_name_H-M_alt 'P 63/m m c'
_space_group_IT_number 194
_space_group_name_Hall '-P 6c 2c'
_cell_length_a 3.0541
_cell_length_b 3.0541
_cell_length_c 5.1589
_cell_angle_alpha 90.00
_cell_angle_beta 90.00
_cell_angle_gamma 120.00
loop_
_atom_site_label
_atom_site_type_symbol
_atom_site_fract_x
_atom_site_fract_y
_atom_site_fract_z
Rh1 Rh 0.0000 0.0000 0.0000
N1 N 0.3333 0.6667 0.2500
```

=====

Structure and calculated powder diffractogram of SnRhSN2 (a crystal structure in Alexandria, relaxed with PBE; Cu Kα, 1.54184 Å).
Neutral-atom scattering factors, no anomalous dispersion.

Most intense lines, 2θ from 5° to 70°, by angle:
| 2θ/deg | Rel. int. |
| --- | --- |
| 28.80 | 100 |
| 32.32 | 54 |
| 35.43 | 32 |
| 36.98 | 8 |
| 46.35 | 29 |
| 48.70 | 35 |
| 55.49 | 33 |
| 59.64 | 40 |
| 64.62 | 1 |
| 67.64 | 9 |

Atomic structure:
```
data_SnRhSN2
_chemical_formula_sum 'Sn1 Rh1 S1 N2'
_space_group_name_H-M_alt 'P 4/m m m'
_space_group_IT_number 123
_space_group_name_Hall '-P 4 2'
_cell_length_a 3.9176
_cell_length_b 3.9176
_cell_length_c 5.0678
_cell_angle_alpha 90.00
_cell_angle_beta 90.00
_cell_angle_gamma 90.00
loop_
_atom_site_label
_atom_site_type_symbol
_atom_site_fract_x
_atom_site_fract_y
_atom_site_fract_z
Sn1 Sn 0.0000 0.0000 0.0000
Rh1 Rh 0.5000 0.5000 0.5000
S1 S 0.5000 0.5000 0.0000
N1 N 0.0000 0.5000 0.5000
```

=====

Structure and calculated powder diffractogram of SbTeRhN2 (a crystal structure in Alexandria, relaxed with PBE; Cu Kα, 1.54184 Å).
Neutral-atom scattering factors, no anomalous dispersion.

Most intense lines, 2θ from 5° to 70°, by angle:
| 2θ/deg | Rel. int. |
| --- | --- |
| 16.18 | 27 |
| 22.05 | 28 |
| 27.47 | 29 |
| 31.38 | 100 |
| 32.69 | 62 |
| 35.50 | 38 |
| 44.96 | 49 |
| 45.95 | 70 |
| 56.69 | 48 |
| 65.48 | 15 |

Atomic structure:
```
data_SbTeRhN2
_chemical_formula_sum 'Sb1 Te1 Rh1 N2'
_space_group_name_H-M_alt 'P 4/m m m'
_space_group_IT_number 123
_space_group_name_Hall '-P 4 2'
_cell_length_a 4.0320
_cell_length_b 4.0320
_cell_length_c 5.4781
_cell_angle_alpha 90.00
_cell_angle_beta 90.00
_cell_angle_gamma 90.00
loop_
_atom_site_label
_atom_site_type_symbol
_atom_site_fract_x
_atom_site_fract_y
_atom_site_fract_z
Sb1 Sb 0.0000 0.0000 0.0000
Te1 Te 0.5000 0.5000 0.0000
Rh1 Rh 0.5000 0.5000 0.5000
N1 N 0.0000 0.5000 0.5000
```